This entry pairs a crystal structure of CaLa2Co2Sb2Pb2O12 with its theoretical PXRD pattern. Radiation: CuKα. Structure: the GGA+U geometry in the Materials Project.
Peak positions follow from Bragg's law for the DFT cell and can differ from measured ones.

Crystal structure
```
data_CaLa2Co2Sb2Pb2O12
_chemical_formula_sum 'Ca1 La2 Co2 Sb2 Pb2 O12'
_space_group_name_H-M_alt 'P 1'
_space_group_IT_number 1
_space_group_name_Hall 'P 1'
_cell_length_a 6.0751
_cell_length_b 6.2085
_cell_length_c 8.1285
_cell_angle_alpha 87.88
_cell_angle_beta 88.96
_cell_angle_gamma 88.11
loop_
_atom_site_label
_atom_site_fract_x
_atom_site_fract_y
_atom_site_fract_z
Ca1 0.0000 0.0000 0.0000
La1 0.0303 0.2864 0.6362
La2 0.5299 0.7564 0.2324
Co1 0.0698 0.6147 0.8473
Co2 0.5741 0.2805 0.4310
Sb1 0.0288 0.8050 0.4432
Sb2 0.5456 0.3025 0.9283
Pb1 0.1034 0.3847 0.2234
Pb2 0.5274 0.8738 0.7057
O1 0.1240 0.7710 0.1995
O2 0.2454 0.0442 0.4520
O3 0.2626 0.5615 0.4709
O4 0.2721 0.1529 0.8560
O5 0.3821 0.5895 0.9019
O6 0.5014 0.3702 0.1749
O7 0.6352 0.9875 0.9957
O8 0.6452 0.2526 0.6888
O9 0.7749 0.9971 0.3734
O10 0.8218 0.5540 0.4152
O11 0.8705 0.3832 0.9413
O12 0.9672 0.8398 0.6912
```

Main lines, low angle first (2θ from 10° to 90°):
- hkl 0 1 -1, 2θ 18.33, I = 25.6
- hkl 0 2 0, 2θ 28.79, I = 34.0
- hkl 1 1 2, 2θ 29.32, I = 28.3
- hkl 2 0 0, 2θ 29.43, I = 59.8
- hkl -1 1 2, 2θ 30.17, I = 33.8
- hkl 1 1 -2, 2θ 30.53, I = 100.0